(1)
Diffraction record for CdFeP3. The PXRD pattern is simulated, not measured: it uses a cell relaxed with PBE and Cu Kα.
Neutral-atom scattering factors, no anomalous dispersion.

Cell and atoms:
Unit cell a=4.4324 b=4.4324 c=4.4324 alpha=90.00 beta=90.00 gamma=90.00
Fractional positions:
Cd1 0.0000 0.0000 0.0000
Fe1 0.5000 0.5000 0.5000
P1 0.0000 0.5000 0.5000
P2 0.5000 0.0000 0.5000
P3 0.5000 0.5000 0.0000

Main lines, low angle first (15° ≤ 2θ ≤ 90°):
| two_theta | Rel. int. |
| --- | --- |
| 28.48 | 100 |
| 35.07 | 41 |
| 40.71 | 64 |
| 50.43 | 40 |
| 58.94 | 40 |
| 66.74 | 16 |
| 70.46 | 15 |
| 74.10 | 13 |
| 81.20 | 18 |
| 88.17 | 7 |

---

(2)
Diffraction record for LaZn9Ir2. The PXRD pattern is simulated, not measured: it uses a cell relaxed with PBE and Cu Kα.
Neutral-atom scattering factors, no anomalous dispersion.

Cell and atoms:
Unit cell a=8.2857 b=8.2857 c=8.2857 alpha=100.26 beta=100.26 gamma=130.07
Fractional positions:
La1 0.3750 0.6250 0.7500
La2 0.6250 0.3750 0.2500
Zn1 0.1250 0.8750 0.2500
Zn2 0.1411 0.5616 0.3351
Zn3 0.1411 0.8060 0.5796
Zn4 0.1940 0.2735 0.3351
Zn5 0.1940 0.8589 0.9204
Zn6 0.2735 0.1940 0.8351
Zn7 0.2735 0.4384 0.0796
Zn8 0.4384 0.2735 0.5796
Zn9 0.4384 0.8589 0.1649
Zn10 0.5616 0.1411 0.8351
Zn11 0.5616 0.7265 0.4204
Zn12 0.7265 0.5616 0.9204
Zn13 0.7265 0.8060 0.1649
Zn14 0.8060 0.1411 0.0796
Zn15 0.8060 0.7265 0.6649
Zn16 0.8589 0.1940 0.4204
Zn17 0.8589 0.4384 0.6649
Zn18 0.8750 0.1250 0.7500
Ir1 0.0000 0.0000 0.0000
Ir2 0.0000 0.0000 0.5000
Ir3 0.0000 0.5000 0.0000
Ir4 0.5000 0.0000 0.5000

Main lines, low angle first (15° ≤ 2θ ≤ 90°):
| two_theta | Rel. int. |
| --- | --- |
| 15.17 | 46 |
| 22.63 | 58 |
| 32.99 | 83 |
| 33.75 | 39 |
| 37.11 | 81 |
| 37.88 | 63 |
| 39.58 | 55 |
| 43.23 | 40 |
| 44.57 | 96 |
| 46.20 | 100 |

---

(3)
Diffraction record for TlHgPF6. The PXRD pattern is simulated, not measured: it uses a cell relaxed with PBE and Cu Kα.
Neutral-atom scattering factors, no anomalous dispersion.

Cell and atoms:
Unit cell a=5.2258 b=5.4662 c=6.6038 alpha=67.34 beta=88.04 gamma=89.77
Fractional positions:
Tl1 0.0000 0.0000 0.0000
Hg1 0.8081 0.6360 0.7062
P1 0.3977 0.3427 0.3102
F1 0.1403 0.1540 0.3671
F2 0.2410 0.5640 0.3748
F3 0.3061 0.4907 0.0542
F4 0.4848 0.1952 0.5635
F5 0.5522 0.1234 0.2392
F6 0.6543 0.5313 0.2495

Main lines, low angle first (15° ≤ 2θ ≤ 90°):
| two_theta | Rel. int. |
| --- | --- |
| 16.98 | 61 |
| 22.82 | 100 |
| 24.41 | 71 |
| 24.60 | 74 |
| 26.95 | 63 |
| 27.78 | 59 |
| 31.64 | 32 |
| 32.27 | 33 |
| 32.78 | 39 |
| 38.69 | 48 |

---

(4)
Diffraction record for Li2Mg2Se3. The PXRD pattern is simulated, not measured: it uses a cell relaxed with PBE and Cu Kα.
Neutral-atom scattering factors, no anomalous dispersion.

Cell and atoms:
Unit cell a=10.0364 b=10.0364 c=7.2717 alpha=111.14 beta=111.14 gamma=80.35
Fractional positions:
Li1 0.0782 0.9218 0.7500
Li2 0.2306 0.7694 0.2500
Li3 0.3363 0.4980 0.9728
Li4 0.4980 0.3363 0.4728
Li5 0.5020 0.6637 0.5272
Li6 0.6637 0.5020 0.0272
Li7 0.7694 0.2306 0.7500
Li8 0.9218 0.0782 0.2500
Mg1 0.0674 0.5815 0.4014
Mg2 0.1242 0.2707 0.0993
Mg3 0.2707 0.1242 0.5993
Mg4 0.4185 0.9326 0.0986
Mg5 0.5815 0.0674 0.9014
Mg6 0.7293 0.8758 0.4007
Mg7 0.8758 0.7293 0.9007
Mg8 0.9326 0.4185 0.5986
Se1 0.0381 0.1928 0.6962
Se2 0.1055 0.6351 0.7929
Se3 0.1928 0.0381 0.1962
Se4 0.2895 0.4828 0.2918
Se5 0.3649 0.8945 0.7071
Se6 0.4828 0.2895 0.7918
Se7 0.5172 0.7105 0.2082
Se8 0.6351 0.1055 0.2929
Se9 0.7105 0.5172 0.7082
Se10 0.8072 0.9619 0.8038
Se11 0.8945 0.3649 0.2071
Se12 0.9619 0.8072 0.3038

Main lines, low angle first (15° ≤ 2θ ≤ 90°):
| two_theta | Rel. int. |
| --- | --- |
| 23.97 | 51 |
| 24.48 | 24 |
| 26.36 | 56 |
| 27.41 | 100 |
| 27.86 | 52 |
| 35.95 | 33 |
| 41.86 | 21 |
| 42.79 | 45 |
| 47.18 | 38 |
| 51.02 | 29 |

---

(5)
Diffraction record for CuWCl4. The PXRD pattern is simulated, not measured: it uses a cell relaxed with PBE and Cu Kα.
Neutral-atom scattering factors, no anomalous dispersion.

Cell and atoms:
Unit cell a=7.0403 b=7.5429 c=7.5631 alpha=65.54 beta=89.67 gamma=72.95
Fractional positions:
Cu1 0.0168 0.1729 0.3133
Cu2 0.9832 0.8271 0.6867
W1 0.0380 0.5677 0.1034
W2 0.9620 0.4323 0.8966
Cl1 0.1638 0.8184 0.4263
Cl2 0.2359 0.7607 0.9355
Cl3 0.2662 0.2687 0.8477
Cl4 0.2784 0.2942 0.3467
Cl5 0.7216 0.7058 0.6533
Cl6 0.7338 0.7313 0.1523
Cl7 0.7641 0.2393 0.0645
Cl8 0.8362 0.1816 0.5737

Main lines, low angle first (15° ≤ 2θ ≤ 90°):
| two_theta | Rel. int. |
| --- | --- |
| 15.70 | 64 |
| 17.31 | 72 |
| 17.57 | 47 |
| 21.22 | 100 |
| 22.59 | 45 |
| 22.92 | 42 |
| 26.75 | 46 |
| 29.28 | 63 |
| 35.30 | 46 |
| 41.02 | 44 |

---

(6)
Diffraction record for Li6HgAu2. The PXRD pattern is simulated, not measured: it uses a cell relaxed with PBE and Cu Kα.
Neutral-atom scattering factors, no anomalous dispersion.

Cell and atoms:
Unit cell a=5.3245 b=5.3245 c=5.1029 alpha=93.72 beta=93.72 gamma=94.20
Fractional positions:
Li1 0.1709 0.8291 0.0000
Li2 0.1715 0.4986 0.3321
Li3 0.4986 0.1715 0.3321
Li4 0.5014 0.8285 0.6679
Li5 0.8285 0.5014 0.6679
Li6 0.8291 0.1709 0.0000
Hg1 0.0000 0.0000 0.5000
Au1 0.3351 0.3351 0.8352
Au2 0.6649 0.6649 0.1648

Main lines, low angle first (15° ≤ 2θ ≤ 90°):
| two_theta | Rel. int. |
| --- | --- |
| 22.80 | 53 |
| 23.40 | 100 |
| 31.76 | 22 |
| 39.19 | 30 |
| 39.45 | 29 |
| 40.42 | 57 |
| 41.48 | 14 |
| 47.85 | 15 |
| 51.77 | 12 |
| 52.79 | 11 |

---

(7)
Diffraction record for Mg2Mn3. The PXRD pattern is simulated, not measured: it uses a cell relaxed with PBE and Cu Kα.
Neutral-atom scattering factors, no anomalous dispersion.

Cell and atoms:
Unit cell a=7.1851 b=5.4318 c=8.2123 alpha=59.47 beta=40.63 gamma=79.90
Fractional positions:
Mg1 0.0167 0.4833 0.0855
Mg2 0.1645 0.8355 0.2333
Mg3 0.4833 0.0167 0.4145
Mg4 0.8355 0.1645 0.7667
Mn1 0.0764 0.0764 0.9236
Mn2 0.3264 0.3264 0.1736
Mn3 0.4692 0.5762 0.3340
Mn4 0.5762 0.4692 0.6206
Mn5 0.6294 0.9160 0.6738
Mn6 0.9160 0.6294 0.7808

Main lines, low angle first (15° ≤ 2θ ≤ 90°):
| two_theta | Rel. int. |
| --- | --- |
| 20.47 | 13 |
| 22.93 | 24 |
| 37.80 | 23 |
| 38.85 | 38 |
| 38.96 | 100 |
| 39.30 | 75 |
| 40.21 | 29 |
| 41.64 | 18 |
| 47.73 | 34 |
| 64.52 | 16 |

---

(8)
Diffraction record for Tl3BiPb4. The PXRD pattern is simulated, not measured: it uses a cell relaxed with PBE and Cu Kα.
Neutral-atom scattering factors, no anomalous dispersion.

Cell and atoms:
Unit cell a=6.7083 b=11.3518 c=6.7543 alpha=90.00 beta=90.00 gamma=90.00
Fractional positions:
Tl1 0.0000 0.0000 0.0000
Tl2 0.0000 0.2416 0.7344
Tl3 0.0000 0.7584 0.7344
Tl4 0.5000 0.2584 0.2344
Tl5 0.5000 0.5000 0.5000
Tl6 0.5000 0.7416 0.2344
Bi1 0.0000 0.5000 0.5154
Bi2 0.5000 0.0000 0.0154
Pb1 0.0000 0.2701 0.2301
Pb2 0.0000 0.7299 0.2301
Pb3 0.2482 0.5000 0.9758
Pb4 0.2518 0.0000 0.4758
Pb5 0.5000 0.2299 0.7301
Pb6 0.5000 0.7701 0.7301
Pb7 0.7482 0.0000 0.4758
Pb8 0.7518 0.5000 0.9758

Main lines, low angle first (15° ≤ 2θ ≤ 90°):
| two_theta | Rel. int. |
| --- | --- |
| 26.58 | 12 |
| 30.80 | 100 |
| 30.97 | 16 |
| 31.52 | 30 |
| 38.25 | 22 |
| 41.13 | 15 |
| 54.75 | 13 |
| 55.70 | 13 |
| 64.15 | 24 |
| 64.56 | 13 |

---

(9)
Diffraction record for Mn2VHRu. The PXRD pattern is simulated, not measured: it uses a cell relaxed with PBE and Cu Kα.
Neutral-atom scattering factors, no anomalous dispersion.

Cell and atoms:
Unit cell a=3.6614 b=3.6614 c=3.7859 alpha=90.00 beta=90.00 gamma=90.00
Fractional positions:
Mn1 0.0000 0.5000 0.0000
Mn2 0.5000 0.0000 0.0000
V1 0.0000 0.0000 0.5000
H1 0.0000 0.0000 0.0000
Ru1 0.5000 0.5000 0.5000

Main lines, low angle first (15° ≤ 2θ ≤ 90°):
| two_theta | Rel. int. |
| --- | --- |
| 24.31 | 8 |
| 34.06 | 8 |
| 42.29 | 100 |
| 48.07 | 17 |
| 49.81 | 31 |
| 61.72 | 3 |
| 71.72 | 19 |
| 73.10 | 9 |
| 85.62 | 12 |
| 88.26 | 22 |

---

(10)
Diffraction record for CeIn6Hg12. The PXRD pattern is simulated, not measured: it uses a cell relaxed with PBE and Cu Kα.
Neutral-atom scattering factors, no anomalous dispersion.

Cell and atoms:
Unit cell a=8.7651 b=8.7651 c=8.7651 alpha=110.29 beta=110.29 gamma=110.29
Fractional positions:
Ce1 0.0000 0.0000 0.0000
In1 0.0741 0.5859 0.3765
In2 0.3765 0.0741 0.5859
In3 0.4141 0.6235 0.9259
In4 0.5859 0.3765 0.0741
In5 0.6235 0.9259 0.4141
In6 0.9259 0.4141 0.6235
Hg1 0.1007 0.1679 0.7367
Hg2 0.1679 0.7367 0.1007
Hg3 0.2011 0.3091 0.4679
Hg4 0.2633 0.8993 0.8321
Hg5 0.3091 0.4679 0.2011
Hg6 0.4679 0.2011 0.3091
Hg7 0.5321 0.7989 0.6909
Hg8 0.6909 0.5321 0.7989
Hg9 0.7367 0.1007 0.1679
Hg10 0.7989 0.6909 0.5321
Hg11 0.8321 0.2633 0.8993
Hg12 0.8993 0.8321 0.2633

Main lines, low angle first (15° ≤ 2θ ≤ 90°):
| two_theta | Rel. int. |
| --- | --- |
| 31.94 | 36 |
| 33.11 | 100 |
| 38.08 | 68 |
| 54.18 | 25 |
| 55.71 | 22 |
| 64.29 | 14 |
| 65.67 | 27 |
| 66.35 | 13 |
| 69.47 | 11 |
| 81.45 | 7 |

---

(11)
Diffraction record for Pr2SiPd3. The PXRD pattern is simulated, not measured: it uses a cell relaxed with PBE and Cu Kα.
Neutral-atom scattering factors, no anomalous dispersion.

Cell and atoms:
Unit cell a=3.8752 b=4.3702 c=7.7806 alpha=90.00 beta=90.00 gamma=90.00
Fractional positions:
Pr1 0.0000 0.0000 0.0000
Pr2 0.0000 0.5000 0.4892
Si1 0.5000 0.5000 0.8160
Pd1 0.5000 0.0000 0.3325
Pd2 0.5000 0.0000 0.6809
Pd3 0.5000 0.5000 0.1269

Main lines, low angle first (15° ≤ 2θ ≤ 90°):
| two_theta | Rel. int. |
| --- | --- |
| 32.62 | 45 |
| 32.97 | 100 |
| 40.44 | 47 |
| 41.32 | 24 |
| 46.89 | 17 |
| 52.65 | 13 |
| 53.60 | 22 |
| 63.61 | 24 |
| 64.25 | 13 |
| 69.04 | 11 |

---

(12)
Diffraction record for ZrHg2. The PXRD pattern is simulated, not measured: it uses a cell relaxed with PBE and Cu Kα.
Neutral-atom scattering factors, no anomalous dispersion.

Cell and atoms:
Unit cell a=3.2503 b=3.2503 c=12.4678 alpha=90.00 beta=90.00 gamma=90.00
Fractional positions:
Zr1 0.0000 0.0000 0.0000
Zr2 0.5000 0.5000 0.5000
Hg1 0.0000 0.0000 0.3367
Hg2 0.0000 0.0000 0.6633
Hg3 0.5000 0.5000 0.1633
Hg4 0.5000 0.5000 0.8367

Main lines, low angle first (15° ≤ 2θ ≤ 90°):
| two_theta | Rel. int. |
| --- | --- |
| 28.38 | 9 |
| 35.05 | 100 |
| 39.20 | 37 |
| 43.55 | 14 |
| 56.64 | 13 |
| 60.02 | 21 |
| 68.37 | 29 |
| 74.06 | 12 |
| 74.45 | 11 |
| 84.27 | 4 |

---

(13)
Diffraction record for Ca2PrGaCu2O7. The PXRD pattern is simulated, not measured: it uses a cell relaxed with PBE and Cu Kα.
Neutral-atom scattering factors, no anomalous dispersion.

Cell and atoms:
Unit cell a=11.8145 b=11.8145 c=11.8145 alpha=38.60 beta=152.56 gamma=153.38
Fractional positions:
Ca1 0.0420 0.1546 0.1966
Ca2 0.0420 0.3454 0.3873
Ca3 0.9580 0.6546 0.6127
Ca4 0.9580 0.8454 0.8034
Pr1 0.0253 0.0253 0.0000
Pr2 0.0253 0.5253 0.5000
Ga1 0.4142 0.7360 0.1782
Ga2 0.5578 0.2360 0.8218
Cu1 0.5199 0.6041 0.0766
Cu2 0.5199 0.9432 0.4157
Cu3 0.5275 0.1041 0.5843
Cu4 0.5275 0.4432 0.9234
O1 0.0180 0.3830 0.1349
O2 0.0245 0.3564 0.8134
O3 0.0245 0.7111 0.1681
O4 0.0268 0.1987 0.6888
O5 0.0268 0.8379 0.3280
O6 0.2481 0.8830 0.8651
O7 0.5096 0.2581 0.6104
O8 0.5099 0.3379 0.3112
O9 0.5096 0.3992 0.7515
O10 0.5099 0.6987 0.6720
O11 0.5430 0.2111 0.1866
O12 0.5430 0.8564 0.8319
O13 0.6477 0.7581 0.2485
O14 0.6477 0.8992 0.3896

Main lines, low angle first (15° ≤ 2θ ≤ 90°):
| two_theta | Rel. int. |
| --- | --- |
| 24.16 | 19 |
| 31.94 | 24 |
| 32.93 | 29 |
| 33.29 | 100 |
| 39.73 | 18 |
| 46.53 | 28 |
| 49.02 | 12 |
| 57.79 | 16 |
| 59.03 | 20 |
| 69.89 | 12 |